No. 1
Diffraction record for PrCN. The X-ray powder pattern is computed, not measured: it uses a PBE-relaxed structure and Cu Kα, 1.54184 Å.

Cell and atoms:
abc: 7.001 3.785 6.148
angles: 90.00 90.00 90.00
Positions (direct):
Pr1 0.190 0.250 0.162
Pr2 0.310 0.750 0.662
Pr3 0.690 0.250 0.338
Pr4 0.810 0.750 0.838
C1 0.024 0.250 0.563
C2 0.476 0.750 0.063
C3 0.524 0.250 0.937
C4 0.976 0.750 0.437
N1 0.065 0.250 0.778
N2 0.435 0.750 0.278
N3 0.565 0.250 0.722
N4 0.935 0.750 0.222

The 8 most intense peaks (15 to 90 degrees two-theta), most intense first:
d (Å), I/Imax
3.223, 100
2.815, 93
2.371, 84
2.928, 71
2.570, 64
1.745, 59
3.042, 42
3.500, 39

No. 2
Diffraction record for LiB3C3. The X-ray powder pattern is computed, not measured: it uses a PBE-relaxed structure and Cu Kα, 1.54184 Å.

Cell and atoms:
abc: 4.711 4.711 6.120
angles: 90.00 90.00 120.00
Positions (direct):
Li1 0.333 0.667 0.000
Li2 0.667 0.333 0.000
B1 0.000 0.332 0.703
B2 0.000 0.668 0.297
B3 0.332 0.000 0.703
B4 0.332 0.332 0.297
B5 0.668 0.000 0.297
B6 0.668 0.668 0.703
C1 0.000 0.334 0.289
C2 0.000 0.666 0.711
C3 0.334 0.000 0.289
C4 0.334 0.334 0.711
C5 0.666 0.000 0.711
C6 0.666 0.666 0.289

The 8 most intense peaks (15 to 90 degrees two-theta), most intense first:
d (Å), I/Imax
3.060, 100
1.867, 43
2.356, 31
1.360, 26
2.040, 24
2.198, 20
1.243, 17
1.132, 16

No. 3
Diffraction record for Ho4Tm3Au4. The X-ray powder pattern is computed, not measured: it uses a PBE-relaxed structure and Cu Kα, 1.54184 Å.

Cell and atoms:
abc: 8.998 8.998 8.998
angles: 148.95 130.13 59.92
Positions (direct):
Ho1 0.044 0.827 0.217
Ho2 0.390 0.173 0.217
Ho3 0.610 0.827 0.783
Ho4 0.956 0.173 0.783
Tm1 0.000 0.500 0.500
Tm2 0.398 0.398 0.000
Tm3 0.602 0.602 0.000
Au1 0.202 0.702 0.500
Au2 0.311 0.000 0.311
Au3 0.689 0.000 0.689
Au4 0.798 0.298 0.500

The 8 most intense peaks (15 to 90 degrees two-theta), most intense first:
d (Å), I/Imax
2.927, 100
2.153, 52
2.408, 45
2.814, 44
2.884, 27
1.471, 21
2.585, 18
2.598, 16